This entry pairs a crystal structure of ZnNiF5 with its theoretical powder XRD pattern. Radiation: Cu Kα (λ = 1.5418 Å). Structure: a DFT-relaxed cell (PBE+U, Alexandria).
Lines closer than 0.1° are merged.

Largest 10 diffraction maxima, most intense first, 15 to 90 degrees two-theta:
d 3.501, intensity 100; d 3.346, intensity 85; d 4.827, intensity 62; d 2.118, intensity 48; d 2.053, intensity 40; d 3.397, intensity 23; d 2.371, intensity 19; d 1.578, intensity 19; d 4.734, intensity 18; d 1.673, intensity 17

Cell and atoms:
Unit cell a=5.1441 b=5.1441 c=7.8949 alpha=110.10 beta=110.10 gamma=81.27
Sites, in units of the cell vectors:
Zn 0.0947 0.9053 0.7500
Zn 0.9053 0.0947 0.2500
Ni 0.0000 0.5000 0.0000
Ni 0.5000 0.0000 0.5000
F 0.1660 0.6072 0.8638
F 0.2049 0.2475 0.5042
F 0.2138 0.7862 0.2500
F 0.2475 0.2049 0.0042
F 0.3928 0.8340 0.6362
F 0.6072 0.1660 0.3638
F 0.7525 0.7951 0.9958
F 0.7862 0.2138 0.7500
F 0.7951 0.7525 0.4958
F 0.8340 0.3928 0.1362